Computed powder diffraction line list
Compound: Nd3Ni7Pd2
Radiation: λ = 1.5418 Å (Cu Kα)
Structure: a cell relaxed with GGA-PBE

The 8 most intense peaks (2θ = 15–90°), in order of rising 2θ:
two_theta, I/Imax
31.81, 28
34.69, 21
35.01, 54
40.82, 29
41.15, 100
44.53, 19
66.98, 23
73.97, 21

Structural model:
```
Nd3Ni7Pd2
1.0
2.563 1.480 8.484
-2.563 1.480 8.484
0.000 -2.959 8.484
Nd Ni Pd
3 7 2
Direct
0.000 0.000 0.000
0.139 0.139 0.139
0.861 0.861 0.861
0.087 0.585 0.585
0.415 0.415 0.913
0.415 0.913 0.415
0.500 0.500 0.500
0.585 0.087 0.585
0.585 0.585 0.087
0.913 0.415 0.415
0.332 0.332 0.332
0.668 0.668 0.668
```